Structure and simulated XRD peak list of La12Sm7Mg (a DFT-relaxed cell (GGA-PBE, Alexandria); λ = 1.5418 Å (Cu Kα)).

Cell and atoms:
a = 11.6121 Å, b = 11.6121 Å, c = 11.6121 Å
α = 116.75°, β = 116.75°, γ = 116.75°
Positions (direct):
La 0.0000 0.4081 0.5919
La 0.0000 0.5919 0.4081
La 0.0716 0.0716 0.4251
La 0.0716 0.4251 0.0716
La 0.4081 0.0000 0.5919
La 0.4081 0.5919 0.0000
La 0.4251 0.0716 0.0716
La 0.5749 0.9284 0.9284
La 0.5919 0.0000 0.4081
La 0.5919 0.4081 0.0000
La 0.9284 0.5749 0.9284
La 0.9284 0.9284 0.5749
Sm 0.0000 0.0000 0.0000
Sm 0.1439 0.3896 0.3896
Sm 0.3896 0.1439 0.3896
Sm 0.3896 0.3896 0.1439
Sm 0.6104 0.6104 0.8561
Sm 0.6104 0.8561 0.6104
Sm 0.8561 0.6104 0.6104
Mg 0.5000 0.5000 0.5000

Most intense lines, 10° ≤ 2θ ≤ 80°, by angle:
d/Å	two_theta	I (rel.)
3.296	27.05	34
3.015	29.63	100
2.979	30.00	36
2.769	32.33	28
2.742	32.65	29
2.330	38.65	29